For SrPr5Zn6, a GGA-PBE-relaxed structure gives the computed powder diffraction line list in this record (Cu Kα, 1.54184 Å).
Peak positions follow from Bragg's law for the DFT cell and can differ from measured ones.

Structure:
```
SrPr5Zn6
1.0
2.6395 -7.9415 0.0000
2.6395 7.9415 0.0000
0.0000 0.0000 7.4913
Sr Pr Zn
1 5 6
direct
0.0000 0.0000 0.0000
0.0000 0.0000 0.5000
0.3338 0.6662 0.5000
0.3350 0.6650 0.0000
0.6650 0.3350 0.0000
0.6662 0.3338 0.5000
0.1714 0.8286 0.2535
0.1714 0.8286 0.7465
0.5000 0.5000 0.2612
0.5000 0.5000 0.7388
0.8286 0.1714 0.2535
0.8286 0.1714 0.7465
```

Principal peaks in the range 2θ = 10–80°, most intense first:
2θ 33.9, rel. 100.0
2θ 60.6, rel. 28.7
2θ 34.0, rel. 20.0
2θ 60.7, rel. 14.4
2θ 48.7, rel. 14.2
2θ 23.8, rel. 13.4
2θ 71.3, rel. 10.9
2θ 48.6, rel. 7.1
2θ 54.9, rel. 4.9
2θ 41.8, rel. 4.1
2θ 71.5, rel. 2.2
2θ 76.3, rel. 1.5